Simulated powder XRD pattern
Compound: Pr4MgAg
Radiation: copper Kα
Structure: a PBE-relaxed structure

Structural model:
```
6
Lattice="5.1234 0.0000 0.0000 0.0000 5.1329 0.0000 0.0000 0.0000 8.0690" Properties=species:S:1:pos:R:3 pbc="T T T"
Pr 0.0000 0.0000 0.0000
Pr 0.0000 0.0000 3.7391
Pr 2.5617 2.5665 8.0657
Pr 2.5617 2.5665 3.7422
Mg 2.5617 0.0000 5.9079
Ag 0.0000 2.5665 1.8692
```

Peak list (10 most intense, 10 to 90 degrees two-theta, in order of rising 2θ)
10.96 deg, I = 16; 20.52 deg, I = 14; 22.03 deg, I = 25; 24.55 deg, I = 41; 33.22 deg, I = 100; 34.99 deg, I = 45; 41.74 deg, I = 19; 50.33 deg, I = 16; 58.19 deg, I = 17; 61.64 deg, I = 33

=====

Simulated powder XRD pattern
Compound: Ca2PmAu9
Radiation: copper Kα
Structure: a PBE-relaxed structure

Structural model:
```
12
Lattice="2.7886 1.6100 9.5428 -2.7886 1.6100 9.5428 0.0000 -3.2200 9.5428" Properties=species:S:1:pos:R:3 pbc="T T T"
Ca 0.0000 0.0000 4.0609
Ca 0.0000 0.0000 24.5674
Pm 0.0000 0.0000 0.0000
Au -1.4038 -0.8105 11.9813
Au 0.0000 0.0000 9.5233
Au 0.0000 -1.6210 16.6470
Au -1.4038 0.8105 16.6470
Au 0.0000 0.0000 14.3142
Au 1.4038 -0.8105 11.9813
Au 0.0000 1.6210 11.9813
Au 0.0000 0.0000 19.1051
Au 1.4038 0.8105 16.6470
```

Peak list (10 most intense, 10 to 90 degrees two-theta, in order of rising 2θ)
18.63 deg, I = 51; 37.35 deg, I = 100; 37.73 deg, I = 47; 39.35 deg, I = 20; 40.54 deg, I = 41; 43.52 deg, I = 24; 60.71 deg, I = 20; 67.13 deg, I = 21; 67.84 deg, I = 22; 79.65 deg, I = 26

=====

Simulated powder XRD pattern
Compound: ThAl8Ni4
Radiation: copper Kα
Structure: a PBE-relaxed structure

Structural model:
```
13
Lattice="-4.3497 4.3497 2.5632 4.3497 -4.3497 2.5632 4.3497 4.3497 -2.5632" Properties=species:S:1:pos:R:3 pbc="T T T"
Th 0.0000 0.0000 0.0000
Al 3.0171 0.0000 0.0000
Al 5.6822 0.0000 0.0000
Al 4.3497 2.4004 0.0000
Al 0.0000 3.0171 0.0000
Al 2.4004 4.3497 0.0000
Al 1.9493 0.0000 2.5632
Al 0.0000 5.6822 0.0000
Al 0.0000 1.9493 2.5632
Ni 2.1748 2.1748 -1.2816
Ni 2.1748 -2.1748 1.2816
Ni -2.1748 2.1748 1.2816
Ni 2.1748 2.1748 1.2816
```

Peak list (10 most intense, 10 to 90 degrees two-theta, in order of rising 2θ)
14.40 deg, I = 70; 20.10 deg, I = 72; 28.81 deg, I = 86; 29.03 deg, I = 54; 32.55 deg, I = 35; 35.57 deg, I = 49; 40.86 deg, I = 100; 41.36 deg, I = 79; 41.52 deg, I = 62; 59.67 deg, I = 41

=====

Simulated powder XRD pattern
Compound: Ti2SbPb
Radiation: copper Kα
Structure: a PBE-relaxed structure

Structural model:
```
4
Lattice="1.8778 1.0842 7.3773 -1.8778 1.0842 7.3773 0.0000 -2.1683 7.3773" Properties=species:S:1:pos:R:3 pbc="T T T"
Ti 0.0000 0.0000 0.0000
Ti 0.0000 0.0000 4.0371
Sb 0.0000 0.0000 13.1027
Pb 0.0000 0.0000 9.3670
```

Peak list (10 most intense, 10 to 90 degrees two-theta, in order of rising 2θ)
24.13 deg, I = 32; 27.72 deg, I = 65; 28.61 deg, I = 39; 31.92 deg, I = 31; 34.21 deg, I = 100; 39.76 deg, I = 53; 48.48 deg, I = 49; 54.86 deg, I = 23; 60.67 deg, I = 19; 71.73 deg, I = 28

=====

Simulated powder XRD pattern
Compound: AgH3Rh
Radiation: copper Kα
Structure: a PBE-relaxed structure

Structural model:
```
10
Lattice="3.2728 0.0000 0.0000 -1.6364 2.8343 0.0000 0.0000 0.0000 9.1081" Properties=species:S:1:pos:R:3 pbc="T T T"
Ag 0.0000 1.8895 2.2770
Ag 1.6364 0.9448 6.8311
H 0.0000 0.0000 2.2770
H 0.0000 0.0000 6.8311
H 0.0000 1.8895 0.2398
H 0.0000 1.8895 4.3143
H 1.6364 0.9448 4.7939
H 1.6364 0.9448 8.8684
Rh 0.0000 0.0000 0.0000
Rh 0.0000 0.0000 4.5541
```

Peak list (10 most intense, 10 to 90 degrees two-theta, in order of rising 2θ)
31.57 deg, I = 8; 33.10 deg, I = 53; 37.37 deg, I = 100; 39.58 deg, I = 27; 43.69 deg, I = 23; 56.21 deg, I = 28; 60.41 deg, I = 9; 69.46 deg, I = 16; 70.35 deg, I = 15; 70.92 deg, I = 27

=====

Simulated powder XRD pattern
Compound: SrSiHBr2
Radiation: copper Kα
Structure: a PBE-relaxed structure

Structural model:
```
5
Lattice="5.4145 0.0000 0.0000 0.0000 5.4145 0.0000 0.0000 0.0000 3.6956" Properties=species:S:1:pos:R:3 pbc="T T T"
Sr 0.0000 0.0000 0.0000
Si 2.7072 2.7072 0.0000
H 2.7072 2.7072 1.8478
Br 0.0000 2.7072 1.8478
Br 2.7072 0.0000 1.8478
```

Peak list (10 most intense, 10 to 90 degrees two-theta, in order of rising 2θ)
16.37 deg, I = 11; 33.09 deg, I = 54; 33.71 deg, I = 100; 47.50 deg, I = 19; 49.32 deg, I = 8; 59.50 deg, I = 38; 60.68 deg, I = 18; 70.88 deg, I = 11; 79.10 deg, I = 8; 79.45 deg, I = 8

=====

Simulated powder XRD pattern
Compound: Rb2AcCd2O4
Radiation: copper Kα
Structure: a PBE-relaxed structure

Structural model:
```
9
Lattice="8.0177 -1.8855 0.0000 8.0177 1.8855 0.0000 -1.0838 0.0000 6.9754" Properties=species:S:1:pos:R:3 pbc="T T T"
Rb 1.9963 0.0000 0.5192
Rb 12.9553 0.0000 6.4562
Ac -0.5419 0.0000 3.4877
Cd 4.5903 0.0000 3.1516
Cd 10.3613 0.0000 3.8238
O 1.6715 0.0000 4.8622
O 6.3052 0.0000 4.6926
O 8.6465 0.0000 2.2828
O 13.2801 0.0000 2.1132
```

Peak list (10 most intense, 10 to 90 degrees two-theta, in order of rising 2θ)
12.69 deg, I = 100; 24.26 deg, I = 25; 25.54 deg, I = 45; 27.55 deg, I = 35; 30.76 deg, I = 75; 32.92 deg, I = 59; 37.26 deg, I = 41; 46.83 deg, I = 27; 48.28 deg, I = 23; 60.34 deg, I = 24

=====

Simulated powder XRD pattern
Compound: MnReIr4
Radiation: copper Kα
Structure: a PBE-relaxed structure

Structural model:
```
6
Lattice="3.5851 -2.0715 0.0000 3.5851 2.0715 0.0000 -2.3987 0.0000 6.6567" Properties=species:S:1:pos:R:3 pbc="T T T"
Mn 0.0000 0.0000 0.0000
Re 2.3857 0.0000 3.3284
Ir -0.0041 0.0000 2.4673
Ir 2.3899 0.0000 0.7830
Ir 2.3816 0.0000 5.8738
Ir 4.7755 0.0000 4.1894
```

Peak list (10 most intense, 10 to 90 degrees two-theta, in order of rising 2θ)
26.41 deg, I = 22; 30.69 deg, I = 69; 43.72 deg, I = 100; 44.21 deg, I = 96; 54.36 deg, I = 14; 63.92 deg, I = 32; 72.21 deg, I = 13; 80.31 deg, I = 17; 80.62 deg, I = 23; 81.69 deg, I = 16

=====

Simulated powder XRD pattern
Compound: CePdPt3
Radiation: copper Kα
Structure: a PBE-relaxed structure

Structural model:
```
5
Lattice="4.6708 -2.6921 0.0000 4.6708 2.6921 0.0000 -3.1111 0.0000 4.7676" Properties=species:S:1:pos:R:3 pbc="T T T"
Ce 0.0000 0.0000 0.0000
Pd 3.1152 0.0000 2.3838
Pt -1.5556 0.0000 2.3838
Pt 0.7798 1.3461 2.3838
Pt 0.7798 -1.3461 2.3838
```

Peak list (10 most intense, 10 to 90 degrees two-theta, in order of rising 2θ)
18.61 deg, I = 100; 20.01 deg, I = 42; 37.74 deg, I = 39; 38.37 deg, I = 16; 39.11 deg, I = 47; 40.67 deg, I = 96; 46.47 deg, I = 66; 50.47 deg, I = 23; 65.81 deg, I = 23; 82.16 deg, I = 17

=====

Simulated powder XRD pattern
Compound: Ce2Pm5Pb5
Radiation: copper Kα
Structure: a PBE-relaxed structure

Structural model:
```
12
Lattice="7.8128 -2.5085 0.0000 7.8128 2.5085 0.0000 -5.4998 0.0000 9.7892" Properties=species:S:1:pos:R:3 pbc="T T T"
Ce 0.2096 0.0000 2.5573
Ce 9.9163 0.0000 7.2320
Pm 4.3892 0.0000 1.8812
Pm 2.9318 0.0000 5.0767
Pm 7.8128 0.0000 0.0000
Pm 7.1941 0.0000 4.7125
Pm 5.7367 0.0000 7.9080
Pb -2.7499 0.0000 4.8946
Pb -3.4052 0.0000 9.4859
Pb 0.0575 0.0000 6.7783
Pb 10.0683 0.0000 3.0110
Pb 13.5311 0.0000 0.3033
```

Peak list (10 most intense, 10 to 90 degrees two-theta, in order of rising 2θ)
27.15 deg, I = 25; 30.45 deg, I = 100; 31.07 deg, I = 55; 34.51 deg, I = 59; 35.80 deg, I = 43; 36.72 deg, I = 16; 45.50 deg, I = 13; 56.63 deg, I = 11; 61.03 deg, I = 14; 66.36 deg, I = 12

=====

Simulated powder XRD pattern
Compound: LaCd4Pd4
Radiation: copper Kα
Structure: a PBE-relaxed structure

Structural model:
```
18
Lattice="8.8242 0.0000 0.0000 0.0000 8.8242 0.0000 0.0000 0.0000 5.4069" Properties=species:S:1:pos:R:3 pbc="T T T"
La 2.2060 2.2060 1.3517
La 6.6181 6.6181 4.0552
Cd 0.7906 5.7292 0.8616
Cd 1.3171 8.0336 3.5651
Cd 3.0950 5.2027 3.5651
Cd 3.6215 7.5071 0.8616
Cd 5.2027 1.3171 4.5453
Cd 5.7292 3.6215 1.8418
Cd 7.5071 0.7906 1.8418
Cd 8.0336 3.0950 4.5453
Pd 0.3271 5.4066 3.5815
Pd 0.9945 8.4971 0.8780
Pd 3.4176 4.7392 0.8780
Pd 4.0850 7.8296 3.5815
Pd 4.7392 0.9945 1.8255
Pd 5.4066 4.0850 4.5289
Pd 7.8296 0.3271 4.5289
Pd 8.4971 3.4176 1.8255
```

Peak list (10 most intense, 10 to 90 degrees two-theta, in order of rising 2θ)
19.25 deg, I = 23; 32.08 deg, I = 100; 33.14 deg, I = 18; 34.70 deg, I = 40; 40.45 deg, I = 43; 45.58 deg, I = 47; 46.00 deg, I = 27; 46.79 deg, I = 21; 50.29 deg, I = 19; 74.19 deg, I = 19

=====

Simulated powder XRD pattern
Compound: CsEr10C4I18
Radiation: copper Kα
Structure: a PBE-relaxed structure

Structural model:
```
33
Lattice="11.4173 0.0000 0.0000 3.7059 10.8393 0.0000 5.6023 2.8933 9.6034" Properties=species:S:1:pos:R:3 pbc="T T T"
Cs 0.0000 0.0000 0.0000
Er 8.0861 10.0318 5.1952
Er 6.8489 6.7928 4.0750
Er 10.0829 7.3107 6.2991
Er 8.7421 9.1385 2.0011
Er 9.1455 3.5890 5.5062
Er 11.5800 10.1436 4.0972
Er 11.9834 4.5941 7.6023
Er 10.6426 6.4219 3.3043
Er 13.8766 6.9397 5.5284
Er 12.6394 3.7008 4.4082
C 8.7160 7.9331 4.1507
C 9.8866 8.7702 4.1525
C 10.8389 4.9624 5.4509
C 12.0094 5.7995 5.4527
I 4.1094 4.8514 4.0848
I 8.5245 9.4970 8.0163
I 7.0289 11.5958 2.8125
I 7.3336 5.6125 6.8804
I 6.0623 7.7817 1.3584
I 10.1330 12.4301 5.4949
I 10.5955 6.5320 9.2653
I 9.7742 2.5043 8.2728
I 8.1792 4.4141 2.7420
I 12.5462 9.3185 6.8614
I 10.9513 11.2283 1.3306
I 10.1300 7.2006 0.3381
I 10.5925 1.3025 4.1085
I 14.6632 5.9509 8.2450
I 13.3919 8.1201 2.7230
I 13.6966 2.1368 6.7909
I 12.2010 4.2356 1.5871
I 16.6161 8.8811 5.5186
```

Peak list (10 most intense, 10 to 90 degrees two-theta, in order of rising 2θ)
10.59 deg, I = 18; 28.78 deg, I = 100; 29.36 deg, I = 68; 29.84 deg, I = 87; 41.19 deg, I = 19; 41.47 deg, I = 27; 41.69 deg, I = 24; 41.89 deg, I = 25; 41.98 deg, I = 26; 43.47 deg, I = 19

=====

Repeat the fourth record exactly.
Simulated powder XRD pattern
Compound: Ti2SbPb
Radiation: copper Kα
Structure: a PBE-relaxed structure

Structural model:
```
4
Lattice="1.8778 1.0842 7.3773 -1.8778 1.0842 7.3773 0.0000 -2.1683 7.3773" Properties=species:S:1:pos:R:3 pbc="T T T"
Ti 0.0000 0.0000 0.0000
Ti 0.0000 0.0000 4.0371
Sb 0.0000 0.0000 13.1027
Pb 0.0000 0.0000 9.3670
```

Peak list (10 most intense, 10 to 90 degrees two-theta, in order of rising 2θ)
24.13 deg, I = 32; 27.72 deg, I = 65; 28.61 deg, I = 39; 31.92 deg, I = 31; 34.21 deg, I = 100; 39.76 deg, I = 53; 48.48 deg, I = 49; 54.86 deg, I = 23; 60.67 deg, I = 19; 71.73 deg, I = 28